Starting from a DFT-relaxed cell (PBE+U, the Materials Project), the powder X-ray diffraction pattern of Li4Mn5O9F was calculated for Cu Kα, 1.54184 Å.
No peak broadening, texture or thermal motion is included.

Atomic structure:
Unit cell a=5.134 b=5.134 c=13.984 alpha=101.77 beta=101.77 gamma=32.78
Element x y z (fractional)
Li: 0.000 0.000 0.000
Li: 0.174 0.174 0.416
Li: 0.580 0.580 0.208
Li: 0.776 0.776 0.610
Mn: 0.054 0.054 0.723
Mn: 0.290 0.290 0.118
Mn: 0.474 0.474 0.514
Mn: 0.716 0.716 0.917
Mn: 0.873 0.873 0.319
O: 0.085 0.085 0.874
O: 0.106 0.106 0.546
O: 0.238 0.238 0.278
O: 0.344 0.344 0.971
O: 0.431 0.431 0.639
O: 0.507 0.507 0.372
O: 0.657 0.657 0.075
O: 0.840 0.840 0.471
O: 0.922 0.922 0.171
F: 0.722 0.722 0.741

Largest 8 diffraction maxima, low angle first, 2θ = 10–80°:
two_theta  I/Imax
18.2  100.0
32.8  22.6
35.7  24.6
36.9  10.2
40.0  29.3
43.5  44.7
59.6  14.8
61.7  10.4

=====

Starting from a DFT-relaxed cell (PBE+U, the Materials Project), the powder X-ray diffraction pattern of Cr2FeO4 was calculated for Cu Kα, 1.54184 Å.
No peak broadening, texture or thermal motion is included.

Atomic structure:
Unit cell a=5.087 b=5.087 c=9.860 alpha=90.00 beta=90.00 gamma=146.27
Element x y z (fractional)
Cr: 0.133 0.867 0.572
Cr: 0.133 0.867 0.928
Cr: 0.867 0.133 0.072
Cr: 0.867 0.133 0.428
Fe: 0.385 0.615 0.750
Fe: 0.615 0.385 0.250
O: 0.037 0.963 0.750
O: 0.232 0.768 0.112
O: 0.232 0.768 0.388
O: 0.500 0.500 0.000
O: 0.500 0.500 0.500
O: 0.768 0.232 0.612
O: 0.768 0.232 0.888
O: 0.963 0.037 0.250

Largest 8 diffraction maxima, low angle first, 2θ = 10–80°:
two_theta  I/Imax
32.9  100.0
33.0  28.1
36.7  21.5
36.9  18.4
42.4  48.1
45.4  45.9
57.0  21.2
64.0  28.5

=====

Starting from a DFT-relaxed cell (PBE+U, the Materials Project), the powder X-ray diffraction pattern of Li12V3CoP4C4O28 was calculated for Cu Kα, 1.54184 Å.
No peak broadening, texture or thermal motion is included.

Atomic structure:
Unit cell a=8.482 b=6.595 c=10.008 alpha=90.00 beta=95.37 gamma=90.00
Element x y z (fractional)
Li: 0.000 0.000 0.000
Li: 0.001 0.000 0.500
Li: 0.181 0.228 0.762
Li: 0.181 0.772 0.762
Li: 0.182 0.227 0.257
Li: 0.182 0.773 0.257
Li: 0.623 0.276 0.510
Li: 0.623 0.278 0.011
Li: 0.623 0.722 0.011
Li: 0.623 0.724 0.510
Li: 0.803 0.500 0.769
Li: 0.806 0.500 0.269
V: 0.231 0.500 0.489
V: 0.574 0.000 0.282
V: 0.574 0.000 0.780
Co: 0.234 0.500 0.990
P: 0.313 0.000 0.524
P: 0.314 0.000 0.024
P: 0.491 0.500 0.746
P: 0.492 0.500 0.246
C: 0.868 0.000 0.232
C: 0.868 0.000 0.733
C: 0.937 0.500 0.537
C: 0.940 0.500 0.036
O: 0.014 0.000 0.205
O: 0.014 0.000 0.705
O: 0.052 0.500 0.633
O: 0.057 0.500 0.130
O: 0.210 0.183 0.472
O: 0.210 0.817 0.472
O: 0.211 0.186 0.973
O: 0.211 0.814 0.973
O: 0.324 0.500 0.798
O: 0.325 0.500 0.296
O: 0.333 0.000 0.181
O: 0.334 0.000 0.681
O: 0.469 0.500 0.089
O: 0.471 0.500 0.589
O: 0.479 0.000 0.474
O: 0.480 0.000 0.973
O: 0.594 0.317 0.798
O: 0.594 0.683 0.798
O: 0.596 0.317 0.299
O: 0.596 0.683 0.299
O: 0.753 0.000 0.137
O: 0.753 0.000 0.637
O: 0.791 0.500 0.565
O: 0.794 0.500 0.066
O: 0.830 0.000 0.355
O: 0.830 0.000 0.855
O: 0.975 0.500 0.414
O: 0.975 0.500 0.913

Largest 8 diffraction maxima, low angle first, 2θ = 10–80°:
two_theta  I/Imax
10.5  71.9
19.8  33.9
21.5  45.7
25.5  25.8
26.4  30.4
27.0  100.0
36.6  26.1
45.1  22.3

=====

Starting from a DFT-relaxed cell (PBE+U, the Materials Project), the powder X-ray diffraction pattern of MgTi2Ni2O6 was calculated for Cu Kα, 1.54184 Å.
No peak broadening, texture or thermal motion is included.

Atomic structure:
Unit cell a=5.104 b=5.154 c=5.693 alpha=89.50 beta=64.67 gamma=60.45
Element x y z (fractional)
Mg: 0.000 0.000 0.000
Ti: 0.328 0.335 0.002
Ti: 0.354 0.817 0.462
Ni: 0.655 0.177 0.491
Ni: 0.737 0.626 0.892
O: 0.190 0.604 0.737
O: 0.253 0.699 0.188
O: 0.467 0.941 0.738
O: 0.517 0.058 0.209
O: 0.854 0.205 0.727
O: 0.859 0.427 0.199

Largest 8 diffraction maxima, low angle first, 2θ = 10–80°:
two_theta  I/Imax
22.9  23.1
34.8  100.0
35.2  44.8
50.6  56.2
51.5  21.7
52.2  25.6
62.1  23.9
62.9  41.1